# LiSiRu
Calculated powder diffractogram, CuKα. Input: a cell relaxed with GGA-PBE.
Lines closer than 0.1° are merged.

The 12 most intense peaks (10 to 90 degrees two-theta), in order of rising 2θ:
d 3.961, I 33.0
d 3.672, I 100.0
d 2.961, I 27.1
d 2.533, I 15.9
d 2.305, I 63.4
d 2.191, I 55.7
d 2.134, I 28.0
d 1.927, I 16.4
d 1.922, I 16.2
d 1.702, I 20.0
d 1.514, I 14.1
d 1.413, I 19.8

Atomic structure:
Cell: 4.717 4.717 5.065 Å, 122.38 122.38 68.79°
Atoms (fractional coordinates):
Li 0.132 0.868 0.500
Li 0.868 0.132 0.000
Si 0.347 0.349 0.096
Si 0.349 0.347 0.596
Ru 0.499 0.832 0.163
Ru 0.832 0.499 0.663


# La2DyEr4
Calculated powder diffractogram, CuKα. Input: a cell relaxed with GGA-PBE.
Lines closer than 0.1° are merged.

The 12 most intense peaks (10 to 90 degrees two-theta), in order of rising 2θ:
d 2.926, I 100.0
d 2.919, I 33.2
d 2.539, I 22.7
d 2.531, I 22.5
d 2.527, I 22.3
d 1.793, I 16.1
d 1.790, I 24.0
d 1.530, I 14.3
d 1.527, I 23.7
d 1.524, I 18.9
d 1.462, I 8.2
d 1.163, I 9.8

Atomic structure:
Cell: 7.156 8.003 8.776 Å, 111.25 90.30 102.86°
Atoms (fractional coordinates):
La 0.000 0.000 0.000
La 0.071 0.285 0.430
La 0.358 0.438 0.147
La 0.498 0.000 0.000
Dy 0.783 0.146 0.715
Dy 0.927 0.719 0.573
Er 0.140 0.571 0.855
Er 0.213 0.860 0.292
Er 0.286 0.145 0.713
Er 0.429 0.720 0.574
Er 0.571 0.289 0.433
Er 0.643 0.569 0.852
Er 0.714 0.859 0.291
Er 0.858 0.437 0.146


# ScTa3Os4
Calculated powder diffractogram, CuKα. Input: a cell relaxed with GGA-PBE.
Lines closer than 0.1° are merged.

The 12 most intense peaks (10 to 90 degrees two-theta), in order of rising 2θ:
d 4.556, I 3.0
d 4.078, I 3.0
d 2.278, I 52.1
d 2.245, I 100.0
d 1.611, I 17.9
d 1.565, I 8.2
d 1.310, I 18.1
d 1.308, I 17.8
d 1.290, I 17.2
d 1.140, I 3.0
d 1.138, I 2.9
d 1.123, I 11.4

Atomic structure:
Cell: 3.131 4.561 9.101 Å, 90.00 90.00 90.00°
Atoms (fractional coordinates):
Sc 0.000 0.000 0.000
Ta 0.000 0.000 0.500
Ta 0.000 0.500 0.248
Ta 0.000 0.500 0.752
Os 0.500 0.000 0.255
Os 0.500 0.000 0.745
Os 0.500 0.500 0.000
Os 0.500 0.500 0.500


# ZrHgBi
Calculated powder diffractogram, CuKα. Input: a cell relaxed with GGA-PBE.
Lines closer than 0.1° are merged.

The 12 most intense peaks (10 to 90 degrees two-theta), in order of rising 2θ:
d 3.737, I 25.2
d 3.227, I 51.1
d 2.963, I 33.3
d 2.512, I 34.0
d 2.492, I 19.0
d 2.443, I 100.0
d 2.106, I 20.5
d 1.769, I 13.7
d 1.614, I 17.9
d 1.436, I 19.4
d 1.357, I 18.8
d 1.271, I 13.1

Atomic structure:
Cell: 3.278 3.278 7.475 Å, 90.05 90.05 79.96°
Atoms (fractional coordinates):
Zr 0.000 0.000 0.000
Hg 0.498 0.498 0.717
Bi 0.501 0.501 0.300


# Li9LaAg2
Calculated powder diffractogram, CuKα. Input: a cell relaxed with GGA-PBE.
Lines closer than 0.1° are merged.

The 12 most intense peaks (10 to 90 degrees two-theta), in order of rising 2θ:
d 5.660, I 19.3
d 4.190, I 100.0
d 3.383, I 13.4
d 3.116, I 26.7
d 2.894, I 43.0
d 2.830, I 28.7
d 2.584, I 16.5
d 2.430, I 14.6
d 2.095, I 21.3
d 2.024, I 15.0
d 1.691, I 12.8
d 1.675, I 11.6

Atomic structure:
Cell: 8.832 8.832 8.832 Å, 100.29 100.29 130.00°
Atoms (fractional coordinates):
Li 0.068 0.236 0.426
Li 0.068 0.642 0.832
Li 0.236 0.068 0.926
Li 0.236 0.310 0.168
Li 0.310 0.236 0.668
Li 0.310 0.642 0.074
Li 0.358 0.690 0.426
Li 0.358 0.932 0.668
Li 0.375 0.625 0.750
Li 0.625 0.375 0.250
Li 0.642 0.068 0.332
Li 0.642 0.310 0.574
Li 0.690 0.358 0.926
Li 0.690 0.764 0.332
Li 0.764 0.690 0.832
Li 0.764 0.932 0.074
Li 0.932 0.358 0.168
Li 0.932 0.764 0.574
La 0.125 0.875 0.250
La 0.875 0.125 0.750
Ag 0.000 0.500 0.500
Ag 0.500 0.000 0.000
Ag 0.500 0.500 0.000
Ag 0.500 0.500 0.500


# LiCu3Ni3
Calculated powder diffractogram, CuKα. Input: a cell relaxed with GGA-PBE.
Lines closer than 0.1° are merged.

The 12 most intense peaks (10 to 90 degrees two-theta), in order of rising 2θ:
d 3.959, I 69.7
d 2.286, I 15.8
d 2.279, I 15.6
d 1.979, I 100.0
d 1.975, I 99.2
d 1.767, I 13.7
d 1.495, I 15.0
d 1.398, I 29.4
d 1.319, I 7.1
d 1.142, I 43.6
d 1.139, I 14.4
d 1.098, I 5.2

Atomic structure:
Cell: 4.847 4.847 4.847 Å, 109.53 109.53 109.53°
Atoms (fractional coordinates):
Li 0.000 0.000 0.000
Cu 0.494 0.494 0.994
Cu 0.494 0.994 0.494
Cu 0.994 0.494 0.494
Ni 0.495 0.994 0.994
Ni 0.994 0.495 0.994
Ni 0.994 0.994 0.495